Starting from DFT lattice parameters and positions (PBE), the XRD peak list of LiCu2P3H8O13 was calculated for CuKα.

Main lines, low angle first (2θ from 10° to 90°):
| index | 2θ/deg | I (rel.) |
| --- | --- | --- |
| 0 1 0 | 10.14 | 58 |
| 0 1 2 | 22.91 | 77 |
| 2 0 -1 | 27.53 | 43 |
| 2 -2 0 | 29.14 | 78 |
| 0 3 -1 | 30.59 | 100 |
| 2 -1 1 | 30.77 | 36 |
| 0 1 3 | 31.86 | 40 |
| 0 2 -3 | 32.15 | 69 |

Crystal structure
```
data_LiCu2P3H8O13
_cell_length_a 6.808
_cell_length_b 9.294
_cell_length_c 9.876
_cell_angle_alpha 94.70
_cell_angle_beta 104.30
_cell_angle_gamma 107.68
_space_group_name_H-M_alt 'P -1'
_space_group_IT_number 2
_space_group_name_Hall '-P 1'
loop_
_atom_site_label
_atom_site_type_symbol
_atom_site_fract_x
_atom_site_fract_y
_atom_site_fract_z
Li1 Li 0.136 0.249 0.112
Cu1 Cu 0.061 0.447 0.349
Cu2 Cu 0.305 0.843 0.538
P1 P 0.230 0.204 0.533
P2 P 0.322 0.277 0.839
P3 P 0.421 0.521 0.678
H1 H 0.018 0.955 0.133
H2 H 0.067 0.710 0.220
H3 H 0.162 0.065 0.276
H4 H 0.225 0.807 0.840
H5 H 0.229 0.701 0.954
H6 H 0.295 0.702 0.245
H7 H 0.419 0.076 0.183
H8 H 0.469 0.045 0.819
O1 O 0.027 0.220 0.442
O2 O 0.128 0.724 0.875
O3 O 0.134 0.055 0.173
O4 O 0.167 0.238 0.926
O5 O 0.178 0.687 0.290
O6 O 0.192 0.169 0.685
O7 O 0.253 0.583 0.600
O8 O 0.327 0.093 0.478
O9 O 0.339 0.447 0.807
O10 O 0.348 0.382 0.267
O11 O 0.420 0.369 0.583
O12 O 0.437 0.935 0.788
O13 O 0.460 0.739 0.114
```